The following is a theoretical X-ray diffraction stick pattern of ThV2PbO8. It was derived from a cell relaxed with PBE+U, using copper Kα.
Lines closer than 0.1° are merged.

Largest 8 diffraction maxima, by angle, 10 to 90 degrees two-theta:
two_theta  d/Å  I_rel  (hkl)
17.89  4.959  57  1 0 1
23.63  3.765  100  2 0 0
29.80  2.999  26  2 1 1
31.94  2.802  75  1 1 2
33.67  2.662  26  2 2 0
38.38  2.345  18  3 0 1
45.57  1.991  18  3 2 1
47.09  1.930  62  3 1 2

Cell and atoms:
Lattice parameters (Å, degrees): 7.530 7.530 6.590 90.00 90.00 90.00
Space group I-4m2 (No. 119)
Inequivalent atoms, fractional coordinates:
Th (0.000, 0.000, 0.000)
V (0.000, 0.000, 0.500)
V (0.000, 0.500, 0.750)
Pb (0.000, 0.500, 0.250)
O (0.000, 0.171, 0.321)
O (0.000, 0.313, 0.909)